Theoretical XRD peak list of Zn2Te2PdF2 for λ = 1.5418 Å (Cu Kα), from a crystal structure in OQMD, relaxed with PBE.
Intensities are scaled so that the largest is 100.

```
7
Lattice="3.5504 0.0000 0.0000 0.0000 3.5504 0.0000 0.0000 0.0000 9.8587" Properties=species:S:1:pos:R:3 pbc="T T T"
Zn 0.0000 1.7752 1.2714
Zn 1.7752 0.0000 8.5873
Te 0.0000 1.7752 6.9024
Te 1.7752 0.0000 2.9563
Pd 0.0000 0.0000 4.9293
F 0.0000 0.0000 0.0000
F 1.7752 1.7752 0.0000
```

Most intense lines, 10 to 90 degrees two-theta, in order of rising 2θ:
hkl 1 0 1, 26.69°, intensity 45
hkl 1 0 2, 31.04°, intensity 100
hkl 1 1 0, 35.77°, intensity 21
hkl 1 0 3, 37.28°, intensity 44
hkl 1 1 2, 40.32°, intensity 64
hkl 1 0 4, 44.76°, intensity 28
hkl 2 0 0, 51.48°, intensity 36
hkl 2 1 2, 61.34°, intensity 27
hkl 2 1 3, 65.26°, intensity 16
hkl 2 0 5, 71.51°, intensity 16